Computed PXRD pattern
Compound: Zr2Sc2BiAs
Radiation: Cu Kα (weighted mean of Kα1 and Kα2)
Structure: a structure optimized by DFT (GGA-PBE)
Peak positions follow from Bragg's law for the DFT cell and can differ from measured ones.

Peak list (12 most intense, 2θ from 10° to 80°, by angle)
| h k l | 2θ (°) | I_rel |
| --- | --- | --- |
| 0 0 2 | 11.2 | 325 |
| 1 0 1 | 22.4 | 525 |
| 1 0 3 | 27.6 | 341 |
| 1 1 2 | 32.9 | 763 |
| 0 0 6 | 34.1 | 312 |
| 1 0 5 | 35.9 | 228 |
| 1 1 4 | 38.5 | 1000 |
| 2 0 0 | 44.1 | 485 |
| 0 0 8 | 45.9 | 281 |
| 2 0 6 | 56.9 | 279 |
| 2 0 8 | 65.6 | 240 |
| 3 1 4 | 77.4 | 258 |

```
data_Zr2Sc2BiAs
_symmetry_space_group_name_H-M 'I 4 m m'
_symmetry_Int_Tables_number 107
_symmetry_space_group_name_Hall 'I 4 -2'
_cell_length_a 4.105
_cell_length_b 4.105
_cell_length_c 15.792
_cell_angle_alpha 90.00
_cell_angle_beta 90.00
_cell_angle_gamma 90.00
loop_
_atom_site_label
_atom_site_fract_x
_atom_site_fract_y
_atom_site_fract_z
Zr1 0.000 0.500 0.000
Sc1 0.000 0.000 0.192
Sc2 0.000 0.000 0.837
Bi1 0.000 0.000 0.649
As1 0.000 0.000 0.368
```

Computed PXRD pattern
Compound: HoTmNi2Pb
Radiation: Cu Kα (weighted mean of Kα1 and Kα2)
Structure: a structure optimized by DFT (GGA-PBE)
Peak positions follow from Bragg's law for the DFT cell and can differ from measured ones.

Peak list (12 most intense, 2θ from 10° to 80°, by angle)
| h k l | 2θ (°) | I_rel |
| --- | --- | --- |
| 0 1 3 | 29.4 | 542 |
| 1 1 1 | 34.0 | 1000 |
| 1 0 4 | 35.4 | 661 |
| 0 0 6 | 38.1 | 165 |
| 0 1 5 | 39.0 | 305 |
| 0 2 0 | 45.6 | 238 |
| 2 0 0 | 50.2 | 179 |
| 1 1 7 | 57.0 | 211 |
| 1 2 4 | 59.0 | 305 |
| 2 1 3 | 59.2 | 159 |
| 2 1 5 | 65.4 | 132 |
| 2 2 0 | 70.1 | 131 |

```
data_HoTmNi2Pb
_symmetry_space_group_name_H-M 'A m m 2'
_symmetry_Int_Tables_number 38
_cell_length_a 3.636
_cell_length_b 3.980
_cell_length_c 14.156
_cell_angle_alpha 90.00
_cell_angle_beta 90.00
_cell_angle_gamma 90.00
loop_
_symmetry_equiv_pos_as_xyz
'x,y,z'
'-x,-y,z'
'-x,y,z'
'x,-y,z'
'x,y+1/2,z+1/2'
'-x,-y+1/2,z+1/2'
'-x,y+1/2,z+1/2'
'x,-y+1/2,z+1/2'
loop_
_atom_site_label
_atom_site_fract_x
_atom_site_fract_y
_atom_site_fract_z
Ho1 0.000 0.000 0.000
Tm1 0.000 0.000 0.282
Ni1 0.500 0.000 0.440
Ni2 0.500 0.000 0.841
Pb1 0.500 0.000 0.641
```

Computed PXRD pattern
Compound: NdHo2Mg3Ir3
Radiation: Cu Kα (weighted mean of Kα1 and Kα2)
Structure: a structure optimized by DFT (GGA-PBE)
Peak positions follow from Bragg's law for the DFT cell and can differ from measured ones.

Peak list (12 most intense, 2θ from 10° to 80°, by angle)
| h k l | 2θ (°) | I_rel |
| --- | --- | --- |
| 0 3 1 | 24.4 | 522 |
| 1 1 1 | 26.0 | 282 |
| 0 4 0 | 28.2 | 136 |
| 1 0 2 | 32.9 | 692 |
| 1 2 2 | 36.0 | 1000 |
| 0 6 0 | 42.9 | 131 |
| 0 3 3 | 43.0 | 262 |
| 1 5 1 | 43.9 | 273 |
| 2 0 0 | 44.4 | 241 |
| 2 3 1 | 51.3 | 145 |
| 2 3 3 | 63.5 | 249 |
| 1 8 2 | 68.7 | 183 |

```
data_NdHo2Mg3Ir3
_symmetry_space_group_name_H-M 'A m m 2'
_symmetry_Int_Tables_number 38
_cell_length_a 4.080
_cell_length_b 12.659
_cell_length_c 7.281
_cell_angle_alpha 90.00
_cell_angle_beta 90.00
_cell_angle_gamma 90.00
loop_
_symmetry_equiv_pos_as_xyz
'x,y,z'
'-x,-y,z'
'-x,y,z'
'x,-y,z'
'x,y+1/2,z+1/2'
'-x,-y+1/2,z+1/2'
'-x,y+1/2,z+1/2'
'x,-y+1/2,z+1/2'
loop_
_atom_site_label
_atom_site_fract_x
_atom_site_fract_y
_atom_site_fract_z
Nd1 0.000 0.000 0.000
Ho1 0.000 0.204 0.617
Mg1 0.500 0.000 0.656
Mg2 0.500 0.123 0.292
Ir1 0.000 0.000 0.418
Ir2 0.500 0.171 0.912
```

Computed PXRD pattern
Compound: Au4Br3F
Radiation: Cu Kα (weighted mean of Kα1 and Kα2)
Structure: a structure optimized by DFT (GGA-PBE)
Peak positions follow from Bragg's law for the DFT cell and can differ from measured ones.

Peak list (12 most intense, 2θ from 10° to 80°, by angle)
| h k l | 2θ (°) | I_rel |
| --- | --- | --- |
| 0 0 2 | 14.5 | 1000 |
| 1 1 2 | 25.5 | 154 |
| 0 0 4 | 29.2 | 180 |
| 0 2 1 | 30.1 | 546 |
| 2 0 1 | 31.0 | 436 |
| 0 2 3 | 36.7 | 260 |
| 2 0 3 | 37.5 | 323 |
| 0 0 6 | 44.5 | 127 |
| 2 2 2 | 45.0 | 418 |
| 0 2 5 | 47.6 | 171 |
| 2 0 5 | 48.2 | 116 |
| 2 2 4 | 52.3 | 307 |

```
data_Au4Br3F
_symmetry_space_group_name_H-M 'C m m 2'
_symmetry_Int_Tables_number 35
_cell_length_a 5.944
_cell_length_b 6.127
_cell_length_c 12.221
_cell_angle_alpha 90.00
_cell_angle_beta 90.00
_cell_angle_gamma 90.00
loop_
_symmetry_equiv_pos_as_xyz
'x,y,z'
'-x,-y,z'
'-x,y,z'
'x,-y,z'
'x+1/2,y+1/2,z'
'-x+1/2,-y+1/2,z'
'-x+1/2,y+1/2,z'
'x+1/2,-y+1/2,z'
loop_
_atom_site_label
_atom_site_fract_x
_atom_site_fract_y
_atom_site_fract_z
Au1 0.000 0.244 0.000
Au2 0.249 0.000 0.518
Br1 0.000 0.000 0.353
Br2 0.000 0.500 0.153
Br3 0.000 0.500 0.682
F1 0.000 0.000 0.874
```

Computed PXRD pattern
Compound: K2SnHgTe2Se2
Radiation: Cu Kα (weighted mean of Kα1 and Kα2)
Structure: a structure optimized by DFT (GGA-PBE)
Peak positions follow from Bragg's law for the DFT cell and can differ from measured ones.

Peak list (12 most intense, 2θ from 10° to 80°, by angle)
| h k l | 2θ (°) | I_rel |
| --- | --- | --- |
| 1 1 0 | 14.7 | 815 |
| 0 2 1 | 26.4 | 800 |
| 2 2 0 | 29.6 | 457 |
| 2 2 -2 | 32.2 | 1000 |
| 0 2 2 | 38.7 | 116 |
| 5 1 -2 | 41.5 | 227 |
| 3 3 -2 | 41.6 | 221 |
| 4 2 -3 | 44.0 | 172 |
| 3 3 0 | 45.1 | 199 |
| 3 1 1 | 45.5 | 114 |
| 2 4 -1 | 45.7 | 113 |
| 2 2 -4 | 59.0 | 128 |

```
data_K2SnHgTe2Se2
_symmetry_space_group_name_H-M 'C 1 2 1'
_symmetry_Int_Tables_number 5
_cell_length_a 11.255
_cell_length_b 8.507
_cell_length_c 7.323
_cell_angle_alpha 90.00
_cell_angle_beta 130.58
_cell_angle_gamma 90.00
loop_
_symmetry_equiv_pos_as_xyz
'x,y,z'
'-x,y,-z'
'x+1/2,y+1/2,z'
'-x+1/2,y+1/2,-z'
loop_
_atom_site_label
_atom_site_fract_x
_atom_site_fract_y
_atom_site_fract_z
K1 0.000 0.000 0.000
K2 0.000 0.006 0.500
Sn1 0.000 0.515 0.000
Hg1 0.000 0.511 0.500
Te1 0.180 0.330 0.942
Se1 0.165 0.677 0.395
```

Computed PXRD pattern
Compound: Zr3GaB4
Radiation: Cu Kα (weighted mean of Kα1 and Kα2)
Structure: a structure optimized by DFT (GGA-PBE)
Peak positions follow from Bragg's law for the DFT cell and can differ from measured ones.

Peak list (12 most intense, 2θ from 10° to 80°, by angle)
| h k l | 2θ (°) | I_rel |
| --- | --- | --- |
| 0 1 0 | 24.8 | 410 |
| 0 0 3 | 30.9 | 237 |
| 1 0 2 | 35.0 | 904 |
| 1 1 0 | 37.8 | 256 |
| 1 1 1 | 39.3 | 1000 |
| 0 1 3 | 40.0 | 993 |
| 1 1 2 | 43.4 | 343 |
| 0 2 0 | 50.9 | 410 |
| 2 0 0 | 58.1 | 184 |
| 1 2 2 | 63.3 | 314 |
| 1 1 5 | 66.7 | 323 |
| 2 1 3 | 72.9 | 317 |

```
data_Zr3GaB4
_symmetry_space_group_name_H-M 'P m m m'
_symmetry_Int_Tables_number 47
_cell_length_a 3.178
_cell_length_b 3.588
_cell_length_c 8.675
_cell_angle_alpha 90.00
_cell_angle_beta 90.00
_cell_angle_gamma 90.00
loop_
_symmetry_equiv_pos_as_xyz
'x,y,z'
'-x,-y,-z'
'-x,-y,z'
'x,y,-z'
'x,-y,-z'
'-x,y,z'
'-x,y,-z'
'x,-y,z'
loop_
_atom_site_label
_atom_site_fract_x
_atom_site_fract_y
_atom_site_fract_z
Zr1 0.000 0.000 0.000
Zr2 0.500 0.000 0.312
Ga1 0.000 0.500 0.500
B1 0.000 0.500 0.209
B2 0.500 0.500 0.110
```

Computed PXRD pattern
Compound: KHg3GeS4
Radiation: Cu Kα (weighted mean of Kα1 and Kα2)
Structure: a structure optimized by DFT (GGA-PBE)
Peak positions follow from Bragg's law for the DFT cell and can differ from measured ones.

Peak list (12 most intense, 2θ from 10° to 80°, by angle)
| h k l | 2θ (°) | I_rel |
| --- | --- | --- |
| 0 1 1 | 14.8 | 1000 |
| 1 1 1 | 20.6 | 485 |
| 0 2 1 | 24.9 | 441 |
| 2 0 -1 | 25.6 | 496 |
| 0 0 3 | 28.0 | 401 |
| 2 1 -1 | 28.1 | 369 |
| 2 0 -2 | 28.9 | 516 |
| 0 2 2 | 29.8 | 681 |
| 2 0 2 | 34.4 | 396 |
| 2 2 0 | 34.7 | 663 |
| 2 2 1 | 37.2 | 711 |
| 1 3 -1 | 37.9 | 362 |

```
data_KHg3GeS4
_symmetry_space_group_name_H-M 'P 1 21/m 1'
_symmetry_Int_Tables_number 11
_cell_length_a 7.083
_cell_length_b 7.707
_cell_length_c 9.723
_cell_angle_alpha 90.00
_cell_angle_beta 100.29
_cell_angle_gamma 90.00
loop_
_symmetry_equiv_pos_as_xyz
'x,y,z'
'-x,-y,-z'
'-x,y+1/2,-z'
'x,-y+1/2,z'
loop_
_atom_site_label
_atom_site_fract_x
_atom_site_fract_y
_atom_site_fract_z
K1 0.153 0.250 0.137
Hg1 0.238 0.552 0.509
Hg2 0.462 0.250 0.759
Ge1 0.029 0.750 0.288
S1 0.182 0.023 0.775
S2 0.208 0.750 0.117
S3 0.399 0.250 0.468
```

Computed PXRD pattern
Compound: AgTe3
Radiation: Cu Kα (weighted mean of Kα1 and Kα2)
Structure: a structure optimized by DFT (GGA-PBE)
Peak positions follow from Bragg's law for the DFT cell and can differ from measured ones.

Peak list (10 most intense, 2θ from 10° to 80°, by angle)
| h k l | 2θ (°) | I_rel |
| --- | --- | --- |
| 0 2 1 | 29.1 | 1000 |
| 2 2 0 | 41.6 | 376 |
| 2 0 2 | 41.7 | 373 |
| 4 0 1 | 51.6 | 199 |
| 0 0 3 | 51.8 | 65 |
| 0 4 2 | 60.4 | 122 |
| 2 4 1 | 68.4 | 167 |
| 2 2 3 | 68.6 | 166 |
| 6 0 0 | 76.0 | 185 |
| 0 2 4 | 76.3 | 61 |

```
data_AgTe3
_symmetry_space_group_name_H-M 'R 3 m'
_symmetry_Int_Tables_number 160
_symmetry_space_group_name_Hall 'R 3 -2"'
_cell_length_a 8.6767
_cell_length_b 8.6767
_cell_length_c 5.2931
_cell_angle_alpha 90.00
_cell_angle_beta 90.00
_cell_angle_gamma 120.00
loop_
_atom_site_label
_atom_site_fract_x
_atom_site_fract_y
_atom_site_fract_z
Ag1 0.0000 0.0000 0.0000
Te1 0.0009 0.5004 0.9926
```